No. 1
Structure and theoretical XRD peak list of V2ReW4 (a GGA-PBE-relaxed structure; Cu Kα (λ = 1.5418 Å)).

The 10 most intense peaks (10 to 80 degrees two-theta), in order of falling intensity:
d = 2.160 Å, 2θ 41.8, I 100
d = 3.056 Å, 2θ 29.2, I 37
d = 2.187 Å, 2θ 41.3, I 26
d = 2.139 Å, 2θ 42.3, I 25
d = 1.257 Å, 2θ 75.6, I 18
d = 1.529 Å, 2θ 60.5, I 17
d = 1.239 Å, 2θ 77.0, I 17
d = 3.251 Å, 2θ 27.4, I 15
d = 5.004 Å, 2θ 17.7, I 9
d = 1.251 Å, 2θ 76.1, I 8

Atomic structure:
a b c (Å): 6.0999 8.7491 4.2776
angles (deg): 90.00 90.00 90.00
Space group Cmmm (No. 65)
Symmetry-distinct sites (fractional):
V: 0.0000 0.2482 0.0000 x4
Re: 0.0000 0.0000 0.5000 x2
W: 0.2327 0.5000 0.0000 x4
W: 0.2500 0.2500 0.5000 x4



No. 2
Structure and theoretical XRD peak list of Pm7Ho3Er (a GGA-PBE-relaxed structure; Cu Kα (λ = 1.5418 Å)).

The 10 most intense peaks (10 to 80 degrees two-theta), in order of falling intensity:
d = 2.851 Å, 2θ 31.4, I 100
d = 2.817 Å, 2θ 31.8, I 57
d = 2.730 Å, 2θ 32.8, I 36
d = 1.632 Å, 2θ 56.4, I 19
d = 1.992 Å, 2θ 45.5, I 17
d = 1.496 Å, 2θ 62.0, I 15
d = 1.588 Å, 2θ 58.1, I 14
d = 1.767 Å, 2θ 51.7, I 13
d = 1.483 Å, 2θ 62.6, I 10
d = 3.599 Å, 2θ 24.7, I 8

Atomic structure:
a b c (Å): 7.0647 5.6286 10.0081
angles (deg): 90.00 110.62 90.00
Space group P2/m (No. 10)
Symmetry-distinct sites (fractional):
Pm: 0.0000 0.0000 0.0000 x1
Pm: 0.1452 0.5000 0.2921 x2
Pm: 0.3208 0.5000 0.6392 x2
Pm: 0.4139 0.0000 0.8289 x2
Ho: 0.0000 0.0000 0.5000 x1
Ho: 0.2795 0.5000 0.0002 x2
Er: 0.5000 0.0000 0.5000 x1



No. 3
Structure and theoretical XRD peak list of Ca4Cd5Ge6 (a GGA-PBE-relaxed structure; Cu Kα (λ = 1.5418 Å)).

The 10 most intense peaks (10 to 80 degrees two-theta), in order of falling intensity:
d = 2.615 Å, 2θ 34.3, I 100
d = 2.238 Å, 2θ 40.3, I 58
d = 2.075 Å, 2θ 43.6, I 46
d = 1.957 Å, 2θ 46.4, I 34
d = 2.734 Å, 2θ 32.8, I 31
d = 3.388 Å, 2θ 26.3, I 27
d = 2.207 Å, 2θ 40.9, I 25
d = 2.684 Å, 2θ 33.4, I 25
d = 8.053 Å, 2θ 11.0, I 23
d = 2.944 Å, 2θ 30.4, I 22

Atomic structure:
a b c (Å): 4.4752 20.1492 16.1051
angles (deg): 90.00 90.00 90.00
Space group Cmc2_1 (No. 36)
Symmetry-distinct sites (fractional):
Ca: 0.0000 0.0182 0.0000 x4
Ca: 0.0000 0.0366 0.2664 x4
Ca: 0.0000 0.1621 0.7997 x4
Ca: 0.0000 0.1736 0.4428 x4
Cd: 0.0000 0.1538 0.1242 x4
Cd: 0.0000 0.3024 0.1179 x4
Cd: 0.0000 0.3412 0.7730 x4
Cd: 0.0000 0.3504 0.4758 x4
Cd: 0.0000 0.4406 0.1828 x4
Ge: 0.0000 0.1087 0.6107 x4
Ge: 0.0000 0.2258 0.9751 x4
Ge: 0.0000 0.2341 0.2683 x4
Ge: 0.0000 0.4298 0.6291 x4
Ge: 0.0000 0.4331 0.9061 x4
Ge: 0.0000 0.4492 0.3568 x4



No. 4
Structure and theoretical XRD peak list of Ho3Si3Rh2 (a GGA-PBE-relaxed structure; Cu Kα (λ = 1.5418 Å)).

The 10 most intense peaks (10 to 80 degrees two-theta), in order of falling intensity:
d = 2.616 Å, 2θ 34.3, I 100
d = 2.607 Å, 2θ 34.4, I 98
d = 2.303 Å, 2θ 39.1, I 96
d = 3.263 Å, 2θ 27.3, I 56
d = 2.372 Å, 2θ 37.9, I 55
d = 3.160 Å, 2θ 28.2, I 43
d = 2.360 Å, 2θ 38.1, I 43
d = 2.318 Å, 2θ 38.8, I 40
d = 1.591 Å, 2θ 58.0, I 39
d = 1.872 Å, 2θ 48.6, I 36

Atomic structure:
a b c (Å): 7.9391 13.9096 5.6325
angles (deg): 90.00 90.00 90.00
Space group Pnma (No. 62)
Symmetry-distinct sites (fractional):
Ho: 0.0442 0.1135 0.1221 x8
Ho: 0.1932 0.2500 0.6273 x4
Si: 0.1598 0.7500 0.6002 x4
Si: 0.1993 0.0398 0.6284 x8
Rh: 0.0838 0.5918 0.3897 x8



No. 5
Structure and theoretical XRD peak list of Pr6NdY3Ho2 (a GGA-PBE-relaxed structure; Cu Kα (λ = 1.5418 Å)).

The 10 most intense peaks (10 to 80 degrees two-theta), in order of falling intensity:
d = 2.981 Å, 2θ 30.0, I 100
d = 2.573 Å, 2θ 34.9, I 67
d = 2.944 Å, 2θ 30.4, I 32
d = 1.828 Å, 2θ 49.9, I 24
d = 1.811 Å, 2θ 50.4, I 23
d = 1.553 Å, 2θ 59.5, I 19
d = 1.558 Å, 2θ 59.3, I 14
d = 1.490 Å, 2θ 62.3, I 12
d = 1.553 Å, 2θ 59.5, I 9
d = 1.542 Å, 2θ 60.0, I 9

Atomic structure:
a b c (Å): 6.3330 10.9699 11.9626
angles (deg): 90.00 100.14 90.00
Space group C2/m (No. 12)
Symmetry-distinct sites (fractional):
Pr: 0.2490 0.1671 0.2499 x8
Pr: 0.2499 0.0000 0.7500 x4
Nd: 0.0000 0.5000 0.5000 x2
Y: 0.0000 0.0000 0.0000 x2
Y: 0.0000 0.3332 0.0000 x4
Ho: 0.0000 0.1665 0.5000 x4